# 1
This entry pairs a crystal structure of Ni3Sn4Pt2 with its computed XRD peak list. Radiation: Cu Kα (λ = 1.5418 Å). Structure: a DFT-relaxed cell (GGA-PBE, the Materials Project).

The 10 most intense peaks (2θ from 10° to 90°), in order of rising 2θ:
| 2θ/deg | I_rel |
| --- | --- |
| 24.40 | 20 |
| 29.71 | 85 |
| 42.09 | 100 |
| 42.95 | 87 |
| 53.09 | 18 |
| 61.70 | 32 |
| 70.58 | 16 |
| 78.11 | 33 |
| 78.70 | 15 |
| 86.70 | 22 |

Atomic structure:
```
Ni3Sn4Pt2
1.0
4.2119 0.0000 0.0000
-2.1060 3.6476 0.0000
0.0000 0.0000 10.6202
Ni Sn Pt
3 4 2
direct
0.0000 0.0000 0.0000
0.0000 0.0000 0.4992
0.6667 0.3333 0.8810
0.3333 0.6667 0.3835
0.3333 0.6667 0.8868
0.6667 0.3333 0.1279
0.6667 0.3333 0.6151
0.0000 0.0000 0.2521
0.0000 0.0000 0.7455
```

=====

# 2
This entry pairs a crystal structure of Ti11Ni9Pt4 with its computed XRD peak list. Radiation: Cu Kα (λ = 1.5418 Å). Structure: a DFT-relaxed cell (GGA-PBE, the Materials Project).

The 10 most intense peaks (2θ from 10° to 90°), in order of rising 2θ:
| 2θ/deg | I_rel |
| --- | --- |
| 12.62 | 27 |
| 13.79 | 17 |
| 29.16 | 34 |
| 29.32 | 16 |
| 38.29 | 16 |
| 41.55 | 33 |
| 41.68 | 78 |
| 41.93 | 100 |
| 43.65 | 19 |
| 60.46 | 16 |

Atomic structure:
```
Ti11Ni9Pt4
1.0
3.7489 -6.5196 0.0000
3.7489 6.5196 0.0000
-2.5618 0.0000 14.0268
Ti Ni Pt
22 18 8
direct
0.0000 0.5000 0.5000
0.0855 0.9145 0.7500
0.1210 0.2832 0.6497
0.1663 0.6160 0.8623
0.1732 0.3341 0.0003
0.2507 0.7493 0.2500
0.2832 0.1210 0.1497
0.3341 0.1732 0.5003
0.3640 0.4485 0.3412
0.3840 0.8337 0.6377
0.4485 0.3640 0.8412
0.5000 0.0000 0.0000
0.5515 0.6360 0.1588
0.6160 0.1663 0.3623
0.6360 0.5515 0.6588
0.6659 0.8268 0.4997
0.7168 0.8790 0.8503
0.7493 0.2507 0.7500
0.8268 0.6659 0.9997
0.8337 0.3840 0.1377
0.8790 0.7168 0.3503
0.9145 0.0855 0.2500
0.0022 0.4406 0.3232
0.0427 0.2123 0.8238
0.1624 0.3902 0.1750
0.2123 0.0427 0.3238
0.3412 0.5106 0.5221
0.3808 0.6192 0.7500
0.3902 0.1624 0.6750
0.4406 0.0022 0.8232
0.4894 0.6588 0.9779
0.5106 0.3412 0.0221
0.5594 0.9978 0.1768
0.6098 0.8376 0.3250
0.6192 0.3808 0.2500
0.6588 0.4894 0.4779
0.7877 0.9573 0.6762
0.8376 0.6098 0.8250
0.9573 0.7877 0.1762
0.9978 0.5594 0.6768
0.0230 0.8544 0.5618
0.1456 0.9770 0.9382
0.1842 0.6873 0.0625
0.3127 0.8158 0.4375
0.6873 0.1842 0.5625
0.8158 0.3127 0.9375
0.8544 0.0230 0.0618
0.9770 0.1456 0.4382
```

=====

# 3
This entry pairs a crystal structure of PuNi2 with its computed XRD peak list. Radiation: Cu Kα (λ = 1.5418 Å). Structure: a DFT-relaxed cell (GGA-PBE, the Materials Project).

The 10 most intense peaks (2θ from 10° to 90°), in order of rising 2θ:
| 2θ/deg | I_rel |
| --- | --- |
| 22.31 | 34 |
| 36.84 | 82 |
| 43.49 | 100 |
| 45.53 | 9 |
| 58.28 | 9 |
| 66.36 | 31 |
| 70.97 | 31 |
| 78.38 | 22 |
| 82.73 | 7 |
| 89.90 | 15 |

Atomic structure:
```
PuNi2
1.0
0.0000 3.4506 3.4506
3.4506 0.0000 3.4506
3.4506 3.4506 0.0000
Pu Ni
2 4
direct
0.1250 0.1250 0.1250
0.8750 0.8750 0.8750
0.0000 0.5000 0.5000
0.5000 0.0000 0.5000
0.5000 0.5000 0.0000
0.5000 0.5000 0.5000
```

=====

# 4
This entry pairs a crystal structure of Pu4Ni with its computed XRD peak list. Radiation: Cu Kα (λ = 1.5418 Å). Structure: a DFT-relaxed cell (GGA-PBE, the Materials Project).

The 10 most intense peaks (2θ from 10° to 90°), in order of rising 2θ:
| 2θ/deg | I_rel |
| --- | --- |
| 30.29 | 100 |
| 35.12 | 41 |
| 38.39 | 17 |
| 46.14 | 25 |
| 50.51 | 34 |
| 60.04 | 30 |
| 65.18 | 13 |
| 70.80 | 11 |
| 76.24 | 10 |
| 82.22 | 8 |

Atomic structure:
```
Pu4Ni
1.0
0.0000 5.1109 5.1109
5.1109 0.0000 5.1109
5.1109 5.1109 0.0000
Pu Ni
8 2
direct
0.1973 0.7676 0.7676
0.2324 0.2324 0.2324
0.2324 0.2324 0.8027
0.2324 0.8027 0.2324
0.7676 0.1973 0.7676
0.7676 0.7676 0.1973
0.7676 0.7676 0.7676
0.8027 0.2324 0.2324
0.3750 0.3750 0.3750
0.6250 0.6250 0.6250
```